Diffraction record for Li7Mn5O12. The X-ray diffraction stick pattern is simulated, not measured: it uses a crystal structure in Alexandria, relaxed with GGA+U and Cu Kα X-rays.
Kinematic intensities with the Lorentz-polarization factor, no thermal factor.

Principal peaks in the range 2θ = 10–90°, most intense first:
(0 0 3), 2θ = 18.22°, I = 100; (1 1 4), 2θ = 44.05°, I = 57; (2 0 -4), 2θ = 40.88°, I = 34; (1 1 1), 2θ = 36.20°, I = 23; (1 1 -8), 2θ = 61.97°, I = 18; (2 0 -1), 2θ = 33.86°, I = 18; (3 1 0), 2θ = 61.32°, I = 16; (1 1 -5), 2θ = 46.96°, I = 9; (1 1 7), 2θ = 57.97°, I = 9; (0 0 2), 2θ = 12.12°, I = 8

Structure:
```
Li7Mn5O12
1.0
5.3413 0.0000 0.0000
0.0000 2.8711 0.0000
-0.7387 0.0000 14.6086
Li Mn O
7 5 12
direct
0.0000 0.0000 0.0000
0.0000 0.0000 0.5000
0.1145 0.5000 0.3510
0.3654 0.0000 0.6580
0.5000 0.5000 0.0000
0.6346 0.0000 0.3420
0.8855 0.5000 0.6490
0.1771 0.5000 0.8310
0.3218 0.0000 0.1683
0.5000 0.5000 0.5000
0.6782 0.0000 0.8317
0.8229 0.5000 0.1690
0.0290 0.0000 0.7550
0.1760 0.5000 0.0906
0.2130 0.5000 0.5760
0.3177 0.0000 0.9103
0.3412 0.0000 0.4260
0.4757 0.5000 0.2413
0.5243 0.5000 0.7587
0.6588 0.0000 0.5740
0.6823 0.0000 0.0897
0.7870 0.5000 0.4240
0.8240 0.5000 0.9094
0.9710 0.0000 0.2450
```